Entry 1:
Structure and simulated powder diffractogram of In3BSb (a structure optimized by DFT (PBE); Cu Kα).

Top 6 peaks for 2θ = 10–80°, sorted by position:
| 2θ/deg | I_rel |
| --- | --- |
| 15.46 | 100 |
| 26.95 | 39 |
| 31.21 | 81 |
| 35.01 | 55 |
| 44.73 | 59 |
| 47.60 | 29 |

Structure:
Cell lengths 5.7309, 5.7309, 5.7309 Å; angles 90.00, 90.00, 90.00 degrees
Space group Pm-3m (No. 221)
Symmetry-distinct sites (fractional):
In (0.0000, 0.0000, 0.5000)
B (0.5000, 0.5000, 0.5000)
Sb (0.0000, 0.0000, 0.0000)

Entry 2:
Structure and simulated powder diffractogram of Li3Pb (a structure optimized by DFT (PBE); Cu Kα).

Top 6 peaks for 2θ = 10–80°, sorted by position:
| 2θ/deg | I_rel |
| --- | --- |
| 19.21 | 100 |
| 24.39 | 29 |
| 27.29 | 44 |
| 31.23 | 63 |
| 36.93 | 49 |
| 50.77 | 33 |

Structure:
Cell lengths 4.6208, 4.6208, 3.6493 Å; angles 90.00, 90.00, 90.00 degrees
Space group P4/mmm (No. 123)
Symmetry-distinct sites (fractional):
Li (0.0000, 0.0000, 0.0000)
Li (0.0000, 0.5000, 0.5000)
Pb (0.5000, 0.5000, 0.0000)

Entry 3:
Structure and simulated powder diffractogram of Tl2CdGa7 (a structure optimized by DFT (PBE); Cu Kα).

Top 6 peaks for 2θ = 10–80°, sorted by position:
| 2θ/deg | I_rel |
| --- | --- |
| 30.73 | 65 |
| 32.66 | 100 |
| 41.07 | 45 |
| 44.01 | 33 |
| 52.16 | 35 |
| 61.76 | 24 |

Structure:
Cell lengths 4.3956, 4.3956, 11.6414 Å; angles 90.00, 90.00, 90.00 degrees
Space group P-4m2 (No. 115)
Symmetry-distinct sites (fractional):
Tl (0.0000, 0.5000, 0.2482)
Cd (0.0000, 0.0000, 0.5000)
Ga (0.0000, 0.0000, 0.0000)
Ga (0.0000, 0.5000, 0.6468)
Ga (0.0000, 0.5000, 0.8674)
Ga (0.5000, 0.5000, 0.0000)
Ga (0.5000, 0.5000, 0.5000)